Theoretical XRD peak list of NaIn3Rh for Cu Kα, 1.54184 Å, from a cell relaxed with GGA-PBE.

```
data_NaIn3Rh
_chemical_formula_sum 'Na2 In6 Rh2'
_symmetry_space_group_name_H-M 'P 1'
_symmetry_Int_Tables_number 1
_cell_length_a 4.0701
_cell_length_b 8.0713
_cell_length_c 7.6260
_cell_angle_alpha 90.00
_cell_angle_beta 90.00
_cell_angle_gamma 90.00
loop_
_symmetry_equiv_pos_as_xyz
'x,y,z'
loop_
_atom_site_label
_atom_site_fract_x
_atom_site_fract_y
_atom_site_fract_z
Na1 0.2500 0.2500 0.0613
Na2 0.7500 0.7500 0.9387
In1 0.2500 0.5495 0.6546
In2 0.2500 0.7500 0.2607
In3 0.2500 0.9505 0.6546
In4 0.7500 0.0495 0.3454
In5 0.7500 0.2500 0.7393
In6 0.7500 0.4505 0.3454
Rh1 0.2500 0.2500 0.4690
Rh2 0.7500 0.7500 0.5310
```

Most intense lines, 2θ from 10° to 80°, by angle:
| hkl | two_theta | I_rel |
| --- | --- | --- |
| 0 0 1 | 11.6 | 100 |
| 1 0 2 | 32.2 | 12 |
| 1 2 1 | 33.4 | 61 |
| 1 1 2 | 34.1 | 42 |
| 0 3 1 | 35.4 | 21 |
| 0 1 3 | 37.1 | 11 |
| 1 2 2 | 39.3 | 20 |
| 1 3 1 | 42.0 | 13 |
| 2 0 0 | 44.5 | 17 |
| 0 2 4 | 53.1 | 12 |